No. 1
# MnV3Co2P6O24
Calculated X-ray powder pattern, Cu Kα X-rays. Input: a cell relaxed with PBE+U.
Intensities are scaled so that the largest is 100.

Largest 6 diffraction maxima, by angle, 2θ from 10° to 80°:
- 4.326 Å, intensity 77
- 3.663 Å, intensity 100
- 2.693 Å, intensity 66
- 2.498 Å, intensity 36
- 1.908 Å, intensity 30
- 1.831 Å, intensity 25

Cell and atoms:
abc: 8.505 8.505 8.505
angles: 61.15 61.15 61.15
Fractional positions:
Mn1 0.000 0.000 0.000
V1 0.287 0.287 0.287
V2 0.500 0.500 0.500
V3 0.788 0.788 0.788
Co1 0.142 0.142 0.142
Co2 0.643 0.643 0.643
P1 0.102 0.685 0.398
P2 0.190 0.596 0.896
P3 0.398 0.102 0.685
P4 0.596 0.896 0.190
P5 0.685 0.398 0.102
P6 0.896 0.190 0.596
O1 0.023 0.639 0.836
O2 0.057 0.204 0.397
O3 0.096 0.879 0.243
O4 0.142 0.525 0.332
O5 0.165 0.747 0.956
O6 0.204 0.397 0.057
O7 0.243 0.096 0.879
O8 0.257 0.632 0.475
O9 0.332 0.142 0.525
O10 0.385 0.571 0.732
O11 0.397 0.057 0.204
O12 0.475 0.257 0.632
O13 0.525 0.332 0.142
O14 0.561 0.905 0.697
O15 0.571 0.732 0.385
O16 0.632 0.475 0.257
O17 0.639 0.836 0.023
O18 0.697 0.561 0.905
O19 0.732 0.385 0.571
O20 0.747 0.956 0.165
O21 0.836 0.023 0.639
O22 0.879 0.243 0.096
O23 0.905 0.697 0.561
O24 0.956 0.165 0.747


No. 2
# CoPt3O6
Calculated X-ray powder pattern, Cu Kα X-rays. Input: a cell relaxed with PBE+U.
Intensities are scaled so that the largest is 100.

Largest 6 diffraction maxima, by angle, 2θ from 10° to 80°:
- 2.908 Å, intensity 100
- 2.721 Å, intensity 88
- 2.507 Å, intensity 25
- 2.399 Å, intensity 44
- 1.733 Å, intensity 57
- 1.492 Å, intensity 28

Cell and atoms:
abc: 6.155 6.155 3.240
angles: 90.00 90.00 109.12
Fractional positions:
Co1 0.000 0.000 0.000
Pt1 0.000 0.500 0.500
Pt2 0.500 0.000 0.500
Pt3 0.500 0.500 0.000
O1 0.146 0.854 0.500
O2 0.159 0.413 0.000
O3 0.413 0.159 0.000
O4 0.587 0.841 0.000
O5 0.841 0.587 0.000
O6 0.854 0.146 0.500


No. 3
# K2CrOF5
Calculated X-ray powder pattern, Cu Kα X-rays. Input: a cell relaxed with PBE+U.
Intensities are scaled so that the largest is 100.

Largest 6 diffraction maxima, by angle, 2θ from 10° to 80°:
- 5.037 Å, intensity 100
- 4.739 Å, intensity 74
- 3.517 Å, intensity 37
- 2.989 Å, intensity 32
- 2.969 Å, intensity 28
- 2.502 Å, intensity 30

Cell and atoms:
abc: 6.211 6.211 8.303
angles: 94.55 94.55 77.47
Fractional positions:
K1 0.196 0.201 0.022
K2 0.201 0.196 0.522
K3 0.799 0.804 0.478
K4 0.804 0.799 0.978
Cr1 0.321 0.679 0.750
Cr2 0.679 0.321 0.250
O1 0.473 0.527 0.250
O2 0.527 0.473 0.750
F1 0.064 0.936 0.750
F2 0.111 0.516 0.796
F3 0.231 0.648 0.531
F4 0.352 0.769 0.969
F5 0.484 0.889 0.704
F6 0.516 0.111 0.296
F7 0.648 0.231 0.031
F8 0.769 0.352 0.469
F9 0.889 0.484 0.204
F10 0.936 0.064 0.250


Question: What is the formula in the second record?
Answer: CoPt3O6